1.
InGa2Ni2: simulated powder X-ray diffraction pattern (copper Kα), based on a DFT-relaxed cell (GGA-PBE, Alexandria).
Kinematic intensities with the Lorentz-polarization factor, no thermal factor.

abc: 4.3248 4.3248 4.8746
angles: 90.00 90.00 120.00
Sites, in units of the cell vectors:
In 0.0000 0.0000 0.0000
Ga 0.3333 0.6667 0.6389
Ga 0.6667 0.3333 0.3611
Ni 0.3333 0.6667 0.1459
Ni 0.6667 0.3333 0.8541

Peak list (6 most intense, 10 to 80 degrees two-theta, in order of rising 2θ)
| 2theta | I_rel |
| --- | --- |
| 18.2 | 192 |
| 30.1 | 493 |
| 41.8 | 1000 |
| 44.3 | 824 |
| 62.6 | 281 |
| 78.1 | 286 |

=====

2.
PrIn2GaNi2: simulated powder X-ray diffraction pattern (copper Kα), based on a DFT-relaxed cell (GGA-PBE, Alexandria).
Kinematic intensities with the Lorentz-polarization factor, no thermal factor.

abc: 4.5131 4.5131 6.0145
angles: 90.00 90.00 90.00
Sites, in units of the cell vectors:
Pr 0.0000 0.0000 0.0000
In 0.5000 0.5000 0.2444
In 0.5000 0.5000 0.7556
Ga 0.0000 0.0000 0.5000
Ni 0.0000 0.5000 0.5000
Ni 0.5000 0.0000 0.5000

Peak list (6 most intense, 10 to 80 degrees two-theta, in order of rising 2θ)
| 2theta | I_rel |
| --- | --- |
| 28.0 | 486 |
| 31.7 | 298 |
| 35.9 | 1000 |
| 40.0 | 617 |
| 54.8 | 578 |
| 57.8 | 202 |

=====

3.
InGaNiS4: simulated powder X-ray diffraction pattern (copper Kα), based on a DFT-relaxed cell (GGA-PBE, Alexandria).
Kinematic intensities with the Lorentz-polarization factor, no thermal factor.

abc: 7.3041 7.3041 7.3041
angles: 120.57 119.60 89.85
Sites, in units of the cell vectors:
In 0.0000 0.0000 0.0000
In 0.5000 0.0000 0.5000
Ga 0.3822 0.6322 0.7500
Ga 0.6178 0.3678 0.2500
Ni 0.0000 0.0000 0.5000
Ni 0.0000 0.5000 0.0000
S 0.2201 0.7490 0.4711
S 0.2221 0.2510 0.9711
S 0.2345 0.2370 0.5026
S 0.2345 0.7319 0.9974
S 0.7655 0.2681 0.0026
S 0.7655 0.7630 0.4974
S 0.7779 0.7490 0.0289
S 0.7799 0.2510 0.5289

Peak list (6 most intense, 10 to 80 degrees two-theta, in order of rising 2θ)
| 2theta | I_rel |
| --- | --- |
| 28.6 | 1000 |
| 28.8 | 264 |
| 34.8 | 514 |
| 45.6 | 287 |
| 45.9 | 237 |
| 49.9 | 585 |

=====

Please write out number 2 again, unchanged.
PrIn2GaNi2: simulated powder X-ray diffraction pattern (copper Kα), based on a DFT-relaxed cell (GGA-PBE, Alexandria).
Kinematic intensities with the Lorentz-polarization factor, no thermal factor.

abc: 4.5131 4.5131 6.0145
angles: 90.00 90.00 90.00
Sites, in units of the cell vectors:
Pr 0.0000 0.0000 0.0000
In 0.5000 0.5000 0.2444
In 0.5000 0.5000 0.7556
Ga 0.0000 0.0000 0.5000
Ni 0.0000 0.5000 0.5000
Ni 0.5000 0.0000 0.5000

Peak list (6 most intense, 10 to 80 degrees two-theta, in order of rising 2θ)
| 2theta | I_rel |
| --- | --- |
| 28.0 | 486 |
| 31.7 | 298 |
| 35.9 | 1000 |
| 40.0 | 617 |
| 54.8 | 578 |
| 57.8 | 202 |